Calculated powder X-ray diffraction pattern
Compound: K2TbMnO4
Radiation: Cu Kα (λ = 1.5418 Å)
Structure: a DFT-relaxed cell (GGA+U, Alexandria)
No peak broadening, texture or thermal motion is included.

Peak list (12 most intense, 10° ≤ 2θ ≤ 80°, low angle first)
2θ/deg, intensity
15.19, 100
18.78, 17
30.66, 70
30.84, 15
31.04, 16
31.65, 59
32.48, 60
37.60, 44
38.09, 38
50.90, 29
54.59, 22
56.19, 18

Crystal structure
```
K2TbMnO4
1.0
4.791 -4.726 0.000
4.791 4.726 0.000
-4.519 0.000 5.513
K Tb Mn O
4 2 2 8
Cartesian
0.000 0.000 0.000 K
-2.259 0.000 2.757 K
2.395 2.363 0.000 K
0.136 -2.363 2.757 K
4.791 0.000 0.000 Tb
2.531 0.000 2.757 Tb
0.136 2.363 2.757 Mn
2.395 -2.363 0.000 Mn
2.082 2.226 2.565 O
0.250 0.362 3.155 O
5.240 2.226 0.191 O
2.509 -0.362 0.398 O
2.554 0.362 5.115 O
-0.177 -2.226 5.322 O
4.813 -0.362 2.359 O
2.981 -2.226 2.948 O
```